Structure and simulated powder diffraction line list of Nd2Sm12Y (DFT lattice parameters and positions (GGA-PBE); Cu Kα).

Cell lengths 6.8054, 6.8054, 25.0305 Å; angles 90.00, 90.00, 116.31 degrees
Element x y z (fractional)
Nd  0.2500  0.7500  0.2336
Nd  0.2500  0.7500  0.7734
Nd  0.7500  0.2500  0.2266
Nd  0.7500  0.2500  0.7664
Sm  0.0014  0.5014  0.6276
Sm  0.0011  0.9989  0.4235
Sm  0.0192  0.5192  0.0825
Sm  0.0234  0.9766  0.9403
Sm  0.2500  0.2500  0.1729
Sm  0.2500  0.2500  0.3005
Sm  0.2500  0.2500  0.6995
Sm  0.2500  0.2500  0.8271
Sm  0.4766  0.5234  0.9403
Sm  0.4808  0.9808  0.0825
Sm  0.4989  0.5011  0.4235
Sm  0.4986  0.9986  0.6276
Sm  0.5014  0.0014  0.3724
Sm  0.5011  0.4989  0.5765
Sm  0.5192  0.0192  0.9175
Sm  0.5234  0.4766  0.0597
Sm  0.7500  0.7500  0.1729
Sm  0.7500  0.7500  0.3005
Sm  0.7500  0.7500  0.6995
Sm  0.7500  0.7500  0.8271
Sm  0.9766  0.0234  0.0597
Sm  0.9808  0.4808  0.9175
Sm  0.9989  0.0011  0.5765
Sm  0.9986  0.4986  0.3724
Y  0.2500  0.7500  0.5003
Y  0.7500  0.2500  0.4997

Top 6 peaks for 15° ≤ 2θ ≤ 90°, low angle first:
| d_spacing | I/Imax |
| --- | --- |
| 3.041 | 59.7 |
| 2.963 | 100.0 |
| 2.891 | 84.6 |
| 2.752 | 60.8 |
| 2.742 | 46.6 |
| 2.462 | 48.3 |